(1)
Computed powder X-ray diffraction pattern
Compound: MgCd
Radiation: Cu Kα (λ = 1.5418 Å)
Structure: a GGA-PBE-relaxed structure
Intensities are scaled so that the largest is 100.

Structure:
a = 9.6322 Å, b = 5.2866 Å, c = 6.0849 Å
α = 90.00°, β = 121.77°, γ = 90.00°
Fractional coordinates of all 12 atoms:
Mg1 0.0000 0.0000 0.0000
Mg2 0.1640 0.3457 0.5013
Mg3 0.3360 0.8457 0.4987
Mg4 0.5000 0.5000 0.0000
Mg5 0.6640 0.8457 0.5013
Mg6 0.8360 0.3457 0.4987
Cd1 0.0000 0.8472 0.5000
Cd2 0.1657 0.5049 0.9954
Cd3 0.3343 0.0049 0.0046
Cd4 0.5000 0.3472 0.5000
Cd5 0.6657 0.0049 0.9954
Cd6 0.8343 0.5049 0.0046

Principal peaks in the range 2θ = 10–90°, in order of falling intensity:
- 2θ 37.08, I = 100
- 2θ 38.24, I = 42
- 2θ 34.68, I = 38
- 2θ 19.30, I = 31
- 2θ 22.35, I = 30
- 2θ 71.08, I = 30

(2)
Computed powder X-ray diffraction pattern
Compound: LaGe3Ir
Radiation: Cu Kα (λ = 1.5418 Å)
Structure: a GGA-PBE-relaxed structure
Intensities are scaled so that the largest is 100.

Structure:
a = 4.4760 Å, b = 4.4760 Å, c = 10.1868 Å
α = 90.00°, β = 90.00°, γ = 90.00°
Fractional coordinates of all 10 atoms:
La1 0.0000 0.0000 0.0000
La2 0.5000 0.5000 0.5000
Ge1 0.0000 0.0000 0.5789
Ge2 0.0000 0.5000 0.2369
Ge3 0.0000 0.5000 0.7369
Ge4 0.5000 0.0000 0.2369
Ge5 0.5000 0.0000 0.7369
Ge6 0.5000 0.5000 0.0789
Ir1 0.0000 0.0000 0.3411
Ir2 0.5000 0.5000 0.8411

Principal peaks in the range 2θ = 10–90°, in order of falling intensity:
- 2θ 33.11, I = 100
- 2θ 40.30, I = 87
- 2θ 33.33, I = 76
- 2θ 53.11, I = 53
- 2θ 28.20, I = 46
- 2θ 21.69, I = 44

(3)
Computed powder X-ray diffraction pattern
Compound: MgRe2Sb2O12
Radiation: Cu Kα (λ = 1.5418 Å)
Structure: a GGA-PBE-relaxed structure
Intensities are scaled so that the largest is 100.

Structure:
a = 5.2665 Å, b = 7.4665 Å, c = 5.3399 Å
α = 90.00°, β = 90.13°, γ = 90.00°
Fractional coordinates of all 17 atoms:
Mg1 0.0000 0.0000 0.0000
Re1 0.9807 0.2546 0.4410
Re2 0.9807 0.7454 0.4410
Sb1 0.4846 0.2554 0.9374
Sb2 0.4846 0.7446 0.9374
O1 0.0740 0.5000 0.4566
O2 0.1665 0.1846 0.7425
O3 0.1665 0.8154 0.7425
O4 0.2663 0.1858 0.2297
O5 0.2663 0.8142 0.2297
O6 0.3616 0.5000 0.9552
O7 0.6185 0.0000 0.9165
O8 0.6881 0.3017 0.6242
O9 0.6881 0.6983 0.6242
O10 0.8038 0.2951 0.1318
O11 0.8038 0.7049 0.1318
O12 0.8945 0.0000 0.4064

Principal peaks in the range 2θ = 10–90°, in order of falling intensity:
- 2θ 23.73, I = 100
- 2θ 33.88, I = 67
- 2θ 23.83, I = 49
- 2θ 60.83, I = 25
- 2θ 54.89, I = 21
- 2θ 33.57, I = 18

(4)
Computed powder X-ray diffraction pattern
Compound: Rb2Tb3AlF16
Radiation: Cu Kα (λ = 1.5418 Å)
Structure: a GGA-PBE-relaxed structure
Intensities are scaled so that the largest is 100.

Structure:
a = 7.5711 Å, b = 7.5711 Å, c = 13.1190 Å
α = 90.00°, β = 90.00°, γ = 120.00°
Fractional coordinates of all 44 atoms:
Rb1 0.3333 0.6667 0.0588
Rb2 0.3333 0.6667 0.4412
Rb3 0.6667 0.3333 0.5588
Rb4 0.6667 0.3333 0.9412
Tb1 0.1720 0.3440 0.7500
Tb2 0.1720 0.8280 0.7500
Tb3 0.3440 0.1720 0.2500
Tb4 0.6560 0.8280 0.7500
Tb5 0.8280 0.1720 0.2500
Tb6 0.8280 0.6560 0.2500
Al1 0.0000 0.0000 0.0000
Al2 0.0000 0.0000 0.5000
F1 0.0000 0.0000 0.2500
F2 0.0000 0.0000 0.7500
F3 0.1018 0.5509 0.6526
F4 0.1018 0.5509 0.8474
F5 0.1142 0.2284 0.0788
F6 0.1142 0.2284 0.4212
F7 0.1142 0.8858 0.0788
F8 0.1142 0.8858 0.4212
F9 0.1885 0.3769 0.2500
F10 0.1885 0.8115 0.2500
F11 0.2284 0.1142 0.5788
F12 0.2284 0.1142 0.9212
F13 0.3769 0.1885 0.7500
F14 0.4491 0.5509 0.6526
F15 0.4491 0.5509 0.8474
F16 0.4491 0.8982 0.6526
F17 0.4491 0.8982 0.8474
F18 0.5509 0.1018 0.1526
F19 0.5509 0.1018 0.3474
F20 0.5509 0.4491 0.1526
F21 0.5509 0.4491 0.3474
F22 0.6231 0.8115 0.2500
F23 0.7716 0.8858 0.0788
F24 0.7716 0.8858 0.4212
F25 0.8115 0.1885 0.7500
F26 0.8115 0.6231 0.7500
F27 0.8858 0.1142 0.5788
F28 0.8858 0.1142 0.9212
F29 0.8858 0.7716 0.5788
F30 0.8858 0.7716 0.9212
F31 0.8982 0.4491 0.1526
F32 0.8982 0.4491 0.3474

Principal peaks in the range 2θ = 10–90°, in order of falling intensity:
- 2θ 27.20, I = 100
- 2θ 28.05, I = 78
- 2θ 13.50, I = 77
- 2θ 24.47, I = 54
- 2θ 38.84, I = 39
- 2θ 44.21, I = 38

(5)
Computed powder X-ray diffraction pattern
Compound: Tm2Sn3Pb3S12
Radiation: Cu Kα (λ = 1.5418 Å)
Structure: a GGA-PBE-relaxed structure
Intensities are scaled so that the largest is 100.

Structure:
a = 3.9322 Å, b = 20.3590 Å, c = 11.6159 Å
α = 90.00°, β = 90.00°, γ = 90.00°
Fractional coordinates of all 40 atoms:
Tm1 0.0000 0.0877 0.0000
Tm2 0.0000 0.3946 0.6789
Tm3 0.0000 0.6054 0.1789
Tm4 0.0000 0.9123 0.5000
Sn1 0.5000 0.0732 0.3458
Sn2 0.5000 0.2505 0.8548
Sn3 0.5000 0.4122 0.3734
Sn4 0.5000 0.5878 0.8734
Sn5 0.5000 0.7495 0.3548
Sn6 0.5000 0.9268 0.8458
Pb1 0.0000 0.1219 0.6247
Pb2 0.0000 0.2413 0.2565
Pb3 0.0000 0.4148 0.0522
Pb4 0.0000 0.5852 0.5522
Pb5 0.0000 0.7587 0.7565
Pb6 0.0000 0.8781 0.1247
S1 0.0000 0.0060 0.2911
S2 0.0000 0.2418 0.0000
S3 0.0000 0.2576 0.7029
S4 0.0000 0.3417 0.4565
S5 0.0000 0.4835 0.2910
S6 0.0000 0.5165 0.7910
S7 0.0000 0.6583 0.9565
S8 0.0000 0.7424 0.2029
S9 0.0000 0.7582 0.5000
S10 0.0000 0.9940 0.7911
S11 0.5000 0.0083 0.5356
S12 0.5000 0.1263 0.8401
S13 0.5000 0.1385 0.1559
S14 0.5000 0.1765 0.4542
S15 0.5000 0.3428 0.1910
S16 0.5000 0.3761 0.8417
S17 0.5000 0.4682 0.5696
S18 0.5000 0.5318 0.0696
S19 0.5000 0.6239 0.3417
S20 0.5000 0.6572 0.6910
S21 0.5000 0.8235 0.9542
S22 0.5000 0.8615 0.6559
S23 0.5000 0.8737 0.3401
S24 0.5000 0.9917 0.0356

Principal peaks in the range 2θ = 10–90°, in order of falling intensity:
- 2θ 27.34, I = 100
- 2θ 32.62, I = 54
- 2θ 26.50, I = 45
- 2θ 46.20, I = 34
- 2θ 23.20, I = 34
- 2θ 26.26, I = 29

(6)
Computed powder X-ray diffraction pattern
Compound: Mg2Ti3FeS8
Radiation: Cu Kα (λ = 1.5418 Å)
Structure: a GGA-PBE-relaxed structure
Intensities are scaled so that the largest is 100.

Structure:
a = 7.1547 Å, b = 7.1547 Å, c = 7.2595 Å
α = 119.42°, β = 119.42°, γ = 60.16°
Fractional coordinates of all 14 atoms:
Mg1 0.1239 0.1239 0.3720
Mg2 0.8761 0.8761 0.6280
Ti1 0.0000 0.5000 0.0000
Ti2 0.5000 0.0000 0.0000
Ti3 0.5000 0.5000 0.0000
Fe1 0.5000 0.5000 0.5000
S1 0.2577 0.2577 0.7730
S2 0.2691 0.2691 0.2519
S3 0.2688 0.7140 0.2518
S4 0.2860 0.7312 0.7482
S5 0.7140 0.2688 0.2518
S6 0.7312 0.2860 0.7482
S7 0.7309 0.7309 0.7481
S8 0.7423 0.7423 0.2270

Principal peaks in the range 2θ = 10–90°, in order of falling intensity:
- 2θ 35.19, I = 100
- 2θ 15.12, I = 60
- 2θ 50.23, I = 51
- 2θ 29.07, I = 37
- 2θ 51.06, I = 30
- 2θ 46.28, I = 26